This entry pairs a crystal structure of RbSe with its theoretical powder diffractogram. Radiation: CuKα. Structure: a structure optimized by DFT (GGA-PBE).

Cell and atoms:
```
RbSe
1.0
13.4046 0.0000 0.0000
0.0000 13.4046 0.0000
0.0000 0.0000 5.0337
Rb Se
8 8
Direct
0.9996 0.3624 0.0000 Rb
0.0004 0.6376 0.0000 Rb
0.3302 0.6690 0.5000 Rb
0.3310 0.3302 0.5000 Rb
0.3624 0.0004 0.0000 Rb
0.6376 0.9996 0.0000 Rb
0.6690 0.6698 0.5000 Rb
0.6698 0.3310 0.5000 Rb
0.1495 0.4992 0.5000 Se
0.2166 0.4992 0.0000 Se
0.4992 0.7834 0.0000 Se
0.4992 0.8505 0.5000 Se
0.5008 0.1495 0.5000 Se
0.5008 0.2166 0.0000 Se
0.7834 0.5008 0.0000 Se
0.8505 0.5008 0.5000 Se
```

Peak list (6 most intense, 10° ≤ 2θ ≤ 90°, in order of rising 2θ)
d [Å]	I_rel
5.995	55
3.159	100
2.992	71
2.731	88
2.517	37
1.969	51